[1]
The following is a computed PXRD pattern of MgAg8Sn2. It was derived from a PBE-relaxed structure, using Cu Kα (weighted mean of Kα1 and Kα2).
Kinematic intensities with the Lorentz-polarization factor, no thermal factor.

The 10 most intense peaks (10° ≤ 2θ ≤ 80°), in order of rising 2θ:
2θ (°)  I/Imax
37.28  100
41.94  18
42.98  17
45.00  13
61.61  11
63.20  9
63.98  9
73.54  12
75.00  12
79.48  9

Atomic structure:
```
11
Lattice="-2.105 4.308 6.043 2.105 -4.308 6.043 2.105 4.308 -6.043" Properties=species:S:1:pos:R:3 pbc="T T T"
Mg 0.000 0.000 0.000
Ag 2.105 -2.163 4.066
Ag 2.105 0.000 2.070
Ag 2.105 2.028 0.000
Ag 0.000 2.145 1.978
Ag 2.105 2.163 4.066
Ag 0.000 2.281 6.043
Ag 0.000 4.308 3.974
Ag 0.000 6.472 1.978
Sn 0.000 0.000 4.247
Sn 0.000 0.000 7.840
```



[2]
The following is a computed PXRD pattern of BaMgCoCl6. It was derived from a PBE-relaxed structure, using Cu Kα (weighted mean of Kα1 and Kα2).
Kinematic intensities with the Lorentz-polarization factor, no thermal factor.

The 10 most intense peaks (10° ≤ 2θ ≤ 80°), in order of rising 2θ:
2θ (°)  I/Imax
15.71  11
20.59  100
30.48  26
30.64  10
31.03  10
34.47  13
38.56  52
44.55  10
44.63  15
48.47  14

Atomic structure:
```
9
Lattice="3.249 -5.652 0.000 3.249 5.652 0.000 -0.033 0.000 6.695" Properties=species:S:1:pos:R:3 pbc="T T T"
Ba 0.000 0.000 0.000
Mg 3.233 1.876 3.348
Co 3.233 -1.891 3.348
Cl 1.227 -2.093 4.761
Cl 2.455 -0.043 1.916
Cl 4.011 -0.043 4.779
Cl 2.059 -3.517 1.938
Cl 4.407 -3.517 4.757
Cl 5.239 -2.093 1.934
```



[3]
The following is a computed PXRD pattern of InRePt2. It was derived from a PBE-relaxed structure, using Cu Kα (weighted mean of Kα1 and Kα2).
Kinematic intensities with the Lorentz-polarization factor, no thermal factor.

The 10 most intense peaks (10° ≤ 2θ ≤ 80°), in order of rising 2θ:
2θ (°)  I/Imax
14.95  14
37.93  100
38.99  100
44.12  66
45.88  32
62.70  9
65.56  52
76.36  21
78.38  25
79.57  12

Atomic structure:
```
4
Lattice="2.845 0.000 0.000 0.000 3.956 0.000 0.000 0.000 5.927" Properties=species:S:1:pos:R:3 pbc="T T T"
In 0.000 0.000 0.000
Re 1.423 1.978 4.179
Pt 0.000 0.000 3.031
Pt 1.423 1.978 1.427
```



[4]
The following is a computed PXRD pattern of RbBaCdS2. It was derived from a PBE-relaxed structure, using Cu Kα (weighted mean of Kα1 and Kα2).
Kinematic intensities with the Lorentz-polarization factor, no thermal factor.

The 10 most intense peaks (10° ≤ 2θ ≤ 80°), in order of rising 2θ:
2θ (°)  I/Imax
19.81  30
21.98  50
23.45  80
24.10  76
27.03  37
27.78  81
31.19  62
35.99  100
42.86  33
44.81  30

Atomic structure:
```
10
Lattice="7.739 0.000 0.000 0.000 5.288 0.000 -1.697 0.000 8.441" Properties=species:S:1:pos:R:3 pbc="T T T"
Rb -0.424 0.088 2.110
Rb -1.273 5.200 6.330
Ba 2.597 1.578 6.330
Ba 3.446 3.709 2.110
Cd 0.000 2.644 0.000
Cd -0.848 2.644 4.220
S 2.200 1.252 0.363
S 1.352 4.035 4.583
S 4.691 1.252 3.857
S 3.842 4.035 8.078
```



[5]
The following is a computed PXRD pattern of Tc2SbOs. It was derived from a PBE-relaxed structure, using Cu Kα (weighted mean of Kα1 and Kα2).
Kinematic intensities with the Lorentz-polarization factor, no thermal factor.

The 10 most intense peaks (10° ≤ 2θ ≤ 80°), in order of rising 2θ:
2θ (°)  I/Imax
19.44  11
38.11  100
39.46  44
40.22  42
45.11  61
45.75  27
65.67  18
66.72  19
77.20  12
77.70  14

Atomic structure:
```
4
Lattice="4.619 -1.470 0.000 4.619 1.470 0.000 -0.716 0.000 4.733" Properties=species:S:1:pos:R:3 pbc="T T T"
Tc 2.044 0.000 1.067
Tc 6.479 0.000 3.666
Sb -0.358 0.000 2.366
Os 4.619 0.000 0.000
```



[6]
The following is a computed PXRD pattern of CeThTlZn. It was derived from a PBE-relaxed structure, using Cu Kα (weighted mean of Kα1 and Kα2).
Kinematic intensities with the Lorentz-polarization factor, no thermal factor.

The 10 most intense peaks (10° ≤ 2θ ≤ 80°), in order of rising 2θ:
2θ (°)  I/Imax
27.89  16
32.90  100
37.15  38
40.15  13
48.35  8
53.55  13
55.84  20
64.29  29
68.38  8
68.99  10

Atomic structure:
```
4
Lattice="3.423 0.000 0.000 0.000 3.423 0.000 0.000 0.000 8.984" Properties=species:S:1:pos:R:3 pbc="T T T"
Ce 0.000 0.000 0.000
Th 0.000 0.000 4.092
Tl 1.711 1.711 6.580
Zn 1.711 1.711 2.035
```



[7]
The following is a computed PXRD pattern of ZrBr3. It was derived from a PBE-relaxed structure, using Cu Kα (weighted mean of Kα1 and Kα2).
Kinematic intensities with the Lorentz-polarization factor, no thermal factor.

The 10 most intense peaks (10° ≤ 2θ ≤ 80°), in order of rising 2θ:
2θ (°)  I/Imax
13.77  100
27.94  97
37.58  46
40.20  18
42.16  35
47.35  15
50.14  18
51.33  12
57.73  11
75.15  12

Atomic structure:
```
8
Lattice="7.426 0.000 0.000 -3.713 6.431 0.000 0.000 0.000 6.262" Properties=species:S:1:pos:R:3 pbc="T T T"
Zr 0.000 0.000 0.000
Zr 0.000 0.000 3.131
Br -1.110 1.923 1.565
Br -2.602 4.508 4.696
Br 2.221 0.000 1.565
Br 1.110 1.923 4.696
Br 5.205 0.000 4.696
Br 2.602 4.508 1.565
```



[8]
The following is a computed PXRD pattern of SnHg3Pb. It was derived from a PBE-relaxed structure, using Cu Kα (weighted mean of Kα1 and Kα2).
Kinematic intensities with the Lorentz-polarization factor, no thermal factor.

The 10 most intense peaks (10° ≤ 2θ ≤ 80°), in order of rising 2θ:
2θ (°)  I/Imax
30.14  56
31.17  33
31.28  100
31.38  61
32.54  25
36.09  23
36.56  40
36.79  28
39.75  22
43.31  22

Atomic structure:
```
10
Lattice="5.855 0.000 0.000 2.031 6.218 0.000 1.176 -0.303 7.997" Properties=species:S:1:pos:R:3 pbc="T T T"
Sn 2.517 2.895 0.813
Sn 6.545 3.020 7.184
Hg 0.000 0.000 0.000
Hg 3.304 5.141 2.689
Hg 2.702 1.316 3.880
Hg 2.927 0.000 0.000
Hg 6.360 4.599 4.117
Hg 5.758 0.774 5.308
Pb 3.562 3.732 5.717
Pb 5.500 2.184 2.280
```



[9]
The following is a computed PXRD pattern of PrSm4Ho4. It was derived from a PBE-relaxed structure, using Cu Kα (weighted mean of Kα1 and Kα2).
Kinematic intensities with the Lorentz-polarization factor, no thermal factor.

The 10 most intense peaks (10° ≤ 2θ ≤ 80°), in order of rising 2θ:
2θ (°)  I/Imax
30.50  100
35.31  34
35.48  17
50.79  12
50.92  24
60.41  29
60.64  14
63.48  12
74.67  4
75.09  2

Atomic structure:
```
9
Lattice="-5.393 5.393 2.530 5.393 -5.393 2.530 5.393 5.393 -2.530" Properties=species:S:1:pos:R:3 pbc="T T T"
Pr 0.000 0.000 0.000
Sm 3.585 0.000 0.000
Sm 7.201 0.000 0.000
Sm 0.000 3.585 0.000
Sm 0.000 7.201 0.000
Ho 3.589 3.589 0.000
Ho 1.804 -1.804 2.530
Ho -1.804 1.804 2.530
Ho 1.804 1.804 2.530
```



[10]
The following is a computed PXRD pattern of ErPd4Au2. It was derived from a PBE-relaxed structure, using Cu Kα (weighted mean of Kα1 and Kα2).
Kinematic intensities with the Lorentz-polarization factor, no thermal factor.

The 10 most intense peaks (10° ≤ 2θ ≤ 80°), in order of rising 2θ:
2θ (°)  I/Imax
28.05  14
34.53  10
38.84  100
43.08  20
44.21  15
48.06  14
63.44  10
66.50  11
76.13  14
77.74  8

Atomic structure:
```
7
Lattice="4.097 -4.199 0.000 4.097 4.199 0.000 0.000 0.000 3.787" Properties=species:S:1:pos:R:3 pbc="T T T"
Er 0.000 0.000 0.000
Pd 2.049 2.100 0.000
Pd 4.097 2.096 1.893
Pd 2.049 -2.100 0.000
Pd 4.097 -2.096 1.893
Au 2.287 0.000 1.893
Au 5.907 0.000 1.893
```



[11]
The following is a computed PXRD pattern of Cs6Se2S. It was derived from a PBE-relaxed structure, using Cu Kα (weighted mean of Kα1 and Kα2).
Kinematic intensities with the Lorentz-polarization factor, no thermal factor.

The 10 most intense peaks (10° ≤ 2θ ≤ 80°), in order of rising 2θ:
2θ (°)  I/Imax
21.95  42
23.03  35
25.48  100
26.33  26
28.09  24
28.62  20
29.06  33
29.92  56
30.07  19
42.54  20

Atomic structure:
```
18
Lattice="6.705 0.000 0.000 0.000 10.007 0.000 -6.199 0.000 13.791" Properties=species:S:1:pos:R:3 pbc="T T T"
Cs -2.281 1.866 6.219
Cs -5.381 3.138 13.115
Cs -0.478 6.359 5.388
Cs -3.578 8.652 12.283
Cs 0.614 0.304 3.334
Cs -2.486 4.700 10.230
Cs 2.991 5.308 3.561
Cs -0.108 9.703 10.457
Cs 4.083 1.355 1.508
Cs 0.984 3.649 8.404
Cs 5.886 6.870 0.676
Cs 2.787 8.141 7.572
Se -3.441 1.108 9.664
Se -0.341 3.896 2.768
Se 0.846 6.111 11.023
Se 3.946 8.900 4.128
S 0.000 0.000 0.000
S -3.100 5.004 6.896
```



[12]
The following is a computed PXRD pattern of Ce4Pu. It was derived from a PBE-relaxed structure, using Cu Kα (weighted mean of Kα1 and Kα2).
Kinematic intensities with the Lorentz-polarization factor, no thermal factor.

The 10 most intense peaks (10° ≤ 2θ ≤ 80°), in order of rising 2θ:
2θ (°)  I/Imax
15.91  84
20.44  38
26.12  20
32.13  100
32.72  46
41.10  54
41.58  30
50.27  17
51.49  35
53.26  24

Atomic structure:
```
10
Lattice="0.000 6.185 3.630 6.104 0.000 3.630 6.104 6.185 0.000" Properties=species:S:1:pos:R:3 pbc="T T T"
Ce 5.051 1.500 3.843
Ce 1.999 1.592 2.028
Ce 7.122 4.654 3.630
Ce 4.105 4.593 2.028
Ce 5.085 7.715 3.630
Ce 8.137 7.746 5.445
Ce 10.174 10.807 5.445
Ce 7.157 10.869 3.843
Pu 6.104 6.185 2.072
Pu 9.155 9.277 3.887
```